This entry pairs a crystal structure of Li5Zr with its theoretical powder X-ray diffraction pattern. Radiation: Cu Kα (λ = 1.5418 Å). Structure: the GGA-PBE geometry in Alexandria.

Principal peaks in the range 10° ≤ 2θ ≤ 90°, sorted by position:
2θ/deg  I (rel.)
12.59  1000
15.48  629
17.18  506
22.48  264
25.34  203
25.98  191
32.36  212
34.06  183
35.63  192
39.47  312

Cell and atoms:
Cell: 6.106 6.106 7.293 Å, 104.96 104.96 27.00°
Fractional positions:
Li: 0.000 0.000 0.000
Li: 0.054 0.054 0.617
Li: 0.330 0.330 0.678
Li: 0.648 0.648 0.333
Li: 0.718 0.718 0.948
Zr: 0.376 0.376 0.285

This entry pairs a crystal structure of La3Os with its theoretical powder X-ray diffraction pattern. Radiation: Cu Kα (λ = 1.5418 Å). Structure: the GGA-PBE geometry in Alexandria.

Principal peaks in the range 10° ≤ 2θ ≤ 90°, sorted by position:
2θ/deg  I (rel.)
19.99  380
29.82  427
29.95  647
30.88  1000
32.31  828
32.82  848
36.05  534
37.41  444
46.60  409
54.93  501

Cell and atoms:
Cell: 7.472 10.029 6.615 Å, 90.00 90.00 90.00°
Fractional positions:
La: 0.049 0.250 0.150
La: 0.170 0.070 0.673
La: 0.170 0.430 0.673
La: 0.330 0.570 0.173
La: 0.330 0.930 0.173
La: 0.451 0.750 0.650
La: 0.549 0.250 0.350
La: 0.670 0.070 0.827
La: 0.670 0.430 0.827
La: 0.830 0.570 0.327
La: 0.830 0.930 0.327
La: 0.951 0.750 0.850
Os: 0.116 0.750 0.445
Os: 0.384 0.250 0.945
Os: 0.616 0.750 0.055
Os: 0.884 0.250 0.555

This entry pairs a crystal structure of TbPm5Er12 with its theoretical powder X-ray diffraction pattern. Radiation: Cu Kα (λ = 1.5418 Å). Structure: the GGA-PBE geometry in Alexandria.

Principal peaks in the range 10° ≤ 2θ ≤ 90°, sorted by position:
2θ/deg  I (rel.)
30.24  242
31.13  302
32.24  1000
35.06  126
43.95  175
48.45  80
55.00  118
56.09  209
58.71  90
67.47  89

Cell and atoms:
Cell: 10.299 10.299 5.911 Å, 90.01 90.01 113.64°
Fractional positions:
Tb: 0.000 0.000 0.000
Pm: 0.165 0.835 0.500
Pm: 0.334 0.666 0.000
Pm: 0.500 0.500 0.500
Pm: 0.666 0.334 0.000
Pm: 0.835 0.165 0.500
Er: 0.010 0.342 0.950
Er: 0.157 0.490 0.450
Er: 0.177 0.177 0.554
Er: 0.321 0.321 0.054
Er: 0.342 0.010 0.950
Er: 0.490 0.157 0.450
Er: 0.510 0.843 0.550
Er: 0.658 0.990 0.050
Er: 0.679 0.679 0.946
Er: 0.823 0.823 0.446
Er: 0.843 0.510 0.550
Er: 0.990 0.658 0.050

This entry pairs a crystal structure of Sc2URu3 with its theoretical powder X-ray diffraction pattern. Radiation: Cu Kα (λ = 1.5418 Å). Structure: the GGA-PBE geometry in Alexandria.

Principal peaks in the range 10° ≤ 2θ ≤ 90°, sorted by position:
2θ/deg  I (rel.)
23.39  424
38.52  1000
39.32  983
46.60  87
56.22  330
69.68  172
70.22  346
71.82  146
82.55  109
84.58  96

Cell and atoms:
Cell: 4.675 4.675 11.118 Å, 90.00 90.00 120.00°
Fractional positions:
Sc: 0.000 0.000 0.000
Sc: 0.000 0.000 0.500
Sc: 0.333 0.667 0.157
Sc: 0.667 0.333 0.843
U: 0.333 0.667 0.672
U: 0.667 0.333 0.328
Ru: 0.000 0.000 0.249
Ru: 0.000 0.000 0.751
Ru: 0.333 0.667 0.422
Ru: 0.333 0.667 0.908
Ru: 0.667 0.333 0.092
Ru: 0.667 0.333 0.578

This entry pairs a crystal structure of Ta2MnCd2S6 with its theoretical powder X-ray diffraction pattern. Radiation: Cu Kα (λ = 1.5418 Å). Structure: the GGA-PBE geometry in Alexandria.

Principal peaks in the range 10° ≤ 2θ ≤ 90°, sorted by position:
2θ/deg  I (rel.)
10.27  1000
17.37  289
20.62  705
31.35  363
31.82  397
35.30  414
36.73  261
41.74  243
41.89  376
55.00  280

Cell and atoms:
Cell: 5.858 5.858 8.806 Å, 95.86 95.86 121.21°
Fractional positions:
Ta: 0.150 0.850 0.000
Ta: 0.850 0.150 0.000
Mn: 0.500 0.500 0.000
Cd: 0.254 0.746 0.500
Cd: 0.746 0.254 0.500
S: 0.128 0.128 0.818
S: 0.235 0.562 0.165
S: 0.438 0.765 0.835
S: 0.562 0.235 0.165
S: 0.765 0.438 0.835
S: 0.872 0.872 0.182

This entry pairs a crystal structure of NaAuSe2O8 with its theoretical powder X-ray diffraction pattern. Radiation: Cu Kα (λ = 1.5418 Å). Structure: the GGA-PBE geometry in Alexandria.

Principal peaks in the range 10° ≤ 2θ ≤ 90°, sorted by position:
2θ/deg  I (rel.)
10.51  563
20.56  348
24.72  1000
26.93  175
35.02  319
35.47  367
43.72  196
56.90  200
57.50  184
63.40  119

Cell and atoms:
Cell: 8.912 8.912 8.912 Å, 33.00 33.00 33.00°
Fractional positions:
Na: 0.000 0.000 0.000
Au: 0.500 0.500 0.500
Se: 0.247 0.247 0.247
Se: 0.753 0.753 0.753
O: 0.098 0.465 0.761
O: 0.239 0.535 0.902
O: 0.312 0.312 0.312
O: 0.465 0.761 0.098
O: 0.535 0.902 0.239
O: 0.688 0.688 0.688
O: 0.761 0.098 0.465
O: 0.902 0.239 0.535

This entry pairs a crystal structure of Na5TlS4 with its theoretical powder X-ray diffraction pattern. Radiation: Cu Kα (λ = 1.5418 Å). Structure: the GGA-PBE geometry in Alexandria.

Principal peaks in the range 10° ≤ 2θ ≤ 90°, sorted by position:
2θ/deg  I (rel.)
11.53  510
13.04  1000
23.18  238
24.09  307
27.35  158
31.45  187
32.26  712
33.68  177
35.08  196
43.57  418

Cell and atoms:
Cell: 8.815 8.815 8.815 Å, 152.23 129.12 58.95°
Fractional positions:
Na: 0.000 0.000 0.000
Na: 0.099 0.326 0.773
Na: 0.448 0.674 0.773
Na: 0.552 0.326 0.227
Na: 0.901 0.674 0.227
Tl: 0.500 0.000 0.500
S: 0.250 0.500 0.750
S: 0.307 0.807 0.500
S: 0.693 0.193 0.500
S: 0.750 0.500 0.250